# 1
For Y2Zn2Pb3, a GGA-PBE-relaxed structure gives the calculated PXRD pattern in this record (CuKα).

Cell and atoms:
```
data_Y2Zn2Pb3
_chemical_formula_sum 'Y6 Zn6 Pb9'
_cell_length_a 5.0845
_cell_length_b 5.0845
_cell_length_c 24.8289
_cell_angle_alpha 90.00
_cell_angle_beta 90.00
_cell_angle_gamma 120.00
_space_group_name_H-M_alt 'R 3 m'
_space_group_IT_number 160
_space_group_name_Hall 'R 3 -2"'
loop_
_atom_site_label
_atom_site_type_symbol
_atom_site_fract_x
_atom_site_fract_y
_atom_site_fract_z
_atom_site_occupancy
Y1 Y 0.0000 0.0000 0.0000 1
Y2 Y 0.0000 0.0000 0.4321 1
Zn1 Zn 0.0000 0.0000 0.1239 1
Zn2 Zn 0.0000 0.0000 0.7160 1
Pb1 Pb 0.0000 0.0000 0.2947 1
Pb2 Pb 0.0000 0.0000 0.5708 1
Pb3 Pb 0.0000 0.0000 0.8408 1
```

The 8 most intense peaks (15 to 90 degrees two-theta), by angle:
2theta, I/Imax
24.79, 39
32.41, 92
35.31, 100
45.14, 15
48.68, 30
61.55, 29
63.38, 21
78.91, 14

---

# 2
For ZnPb, a GGA-PBE-relaxed structure gives the calculated PXRD pattern in this record (CuKα).

Cell and atoms:
```
data_ZnPb
_chemical_formula_sum 'Zn6 Pb6'
_cell_length_a 4.540
_cell_length_b 10.440
_cell_length_c 6.100
_cell_angle_alpha 90.00
_cell_angle_beta 90.00
_cell_angle_gamma 90.00
_space_group_name_H-M_alt 'P m c 21'
_space_group_IT_number 26
loop_
_space_group_symop_operation_xyz
'x,y,z'
'-x,-y,z+1/2'
'-x,y,z'
'x,-y,z+1/2'
loop_
_atom_site_label
_atom_site_type_symbol
_atom_site_fract_x
_atom_site_fract_y
_atom_site_fract_z
_atom_site_occupancy
Zn1 Zn 0.000 0.055 0.000 1
Zn2 Zn 0.000 0.207 0.652 1
Zn3 Zn 0.500 0.196 0.892 1
Pb1 Pb 0.000 0.345 0.149 1
Pb2 Pb 0.500 0.110 0.356 1
Pb3 Pb 0.500 0.412 0.583 1
```

The 8 most intense peaks (15 to 90 degrees two-theta), by angle:
2theta, I/Imax
25.91, 36
29.91, 100
30.54, 44
32.42, 23
35.68, 63
36.52, 32
37.48, 26
39.70, 43

---

# 3
For ZnPb, a GGA-PBE-relaxed structure gives the calculated PXRD pattern in this record (CuKα).

Cell and atoms:
```
data_ZnPb
_chemical_formula_sum 'Zn1 Pb1'
_cell_length_a 3.5227
_cell_length_b 3.5227
_cell_length_c 4.6140
_cell_angle_alpha 90.00
_cell_angle_beta 90.00
_cell_angle_gamma 120.00
_space_group_name_H-M_alt 'P -6 m 2'
_space_group_IT_number 187
_space_group_name_Hall 'P -6 2'
loop_
_atom_site_label
_atom_site_type_symbol
_atom_site_fract_x
_atom_site_fract_y
_atom_site_fract_z
_atom_site_occupancy
Zn1 Zn 0.0000 0.0000 0.0000 1
Pb1 Pb 0.3333 0.6667 0.5000 1
```

The 8 most intense peaks (15 to 90 degrees two-theta), by angle:
2theta, I/Imax
19.24, 20
29.27, 42
35.27, 100
49.54, 21
51.91, 21
64.32, 18
66.83, 19
87.12, 16

---

# 4
For Pd, a GGA-PBE-relaxed structure gives the calculated PXRD pattern in this record (CuKα).

Cell and atoms:
```
data_Pd
_chemical_formula_sum 'Pd4'
_cell_length_a 2.674
_cell_length_b 4.986
_cell_length_c 4.556
_cell_angle_alpha 90.00
_cell_angle_beta 90.00
_cell_angle_gamma 90.00
_space_group_name_H-M_alt 'C m c m'
_space_group_IT_number 63
_space_group_name_Hall '-C 2c 2'
loop_
_atom_site_label
_atom_site_type_symbol
_atom_site_fract_x
_atom_site_fract_y
_atom_site_fract_z
_atom_site_occupancy
Pd1 Pd 0.000 0.153 0.250 1
```

The 8 most intense peaks (15 to 90 degrees two-theta), by angle:
2theta, I/Imax
38.19, 35
39.56, 48
41.28, 75
43.22, 100
56.16, 22
66.20, 19
74.30, 19
79.95, 22

---

# 5
For Pd, a GGA-PBE-relaxed structure gives the calculated PXRD pattern in this record (CuKα).

Cell and atoms:
```
data_Pd
_chemical_formula_sum 'Pd16'
_cell_length_a 2.762
_cell_length_b 3.876
_cell_length_c 33.716
_cell_angle_alpha 90.00
_cell_angle_beta 90.00
_cell_angle_gamma 90.00
_space_group_name_H-M_alt 'P m m n'
_space_group_IT_number 59
loop_
_space_group_symop_operation_xyz
'x,y,z'
'-x,-y,-z'
'-x+1/2,-y+1/2,z'
'x+1/2,y+1/2,-z'
'x+1/2,-y,-z'
'-x+1/2,y,z'
'-x,y+1/2,-z'
'x,-y+1/2,z'
loop_
_atom_site_label
_atom_site_type_symbol
_atom_site_fract_x
_atom_site_fract_y
_atom_site_fract_z
_atom_site_occupancy
Pd1 Pd 0.250 0.250 0.021 1
Pd2 Pd 0.250 0.250 0.104 1
Pd3 Pd 0.250 0.250 0.188 1
Pd4 Pd 0.250 0.250 0.272 1
Pd5 Pd 0.250 0.250 0.689 1
Pd6 Pd 0.250 0.250 0.771 1
Pd7 Pd 0.250 0.250 0.854 1
Pd8 Pd 0.250 0.250 0.938 1
```

The 8 most intense peaks (15 to 90 degrees two-theta), by angle:
2theta, I/Imax
37.41, 16
39.62, 77
40.12, 100
46.09, 50
46.91, 32
67.86, 41
80.64, 20
81.55, 18

---

# 6
For Pd, a GGA-PBE-relaxed structure gives the calculated PXRD pattern in this record (CuKα).

Cell and atoms:
```
data_Pd
_chemical_formula_sum 'Pd30'
_cell_length_a 4.760
_cell_length_b 34.195
_cell_length_c 4.753
_cell_angle_alpha 90.00
_cell_angle_beta 108.80
_cell_angle_gamma 90.00
_space_group_name_H-M_alt 'P 1 2/c 1'
_space_group_IT_number 13
loop_
_space_group_symop_operation_xyz
'x,y,z'
'-x,-y,-z'
'-x,y,-z+1/2'
'x,-y,z+1/2'
loop_
_atom_site_label
_atom_site_type_symbol
_atom_site_fract_x
_atom_site_fract_y
_atom_site_fract_z
_atom_site_occupancy
Pd1 Pd 0.000 0.021 0.250 1
Pd2 Pd 0.000 0.062 0.750 1
Pd3 Pd 0.000 0.103 0.250 1
Pd4 Pd 0.000 0.145 0.750 1
Pd5 Pd 0.000 0.186 0.250 1
Pd6 Pd 0.000 0.227 0.750 1
Pd7 Pd 0.000 0.269 0.250 1
Pd8 Pd 0.000 0.305 0.750 1
Pd9 Pd 0.500 0.021 0.750 1
Pd10 Pd 0.500 0.062 0.250 1
Pd11 Pd 0.500 0.103 0.750 1
Pd12 Pd 0.500 0.145 0.250 1
Pd13 Pd 0.500 0.186 0.750 1
Pd14 Pd 0.500 0.229 0.250 1
Pd15 Pd 0.500 0.269 0.750 1
```

The 8 most intense peaks (15 to 90 degrees two-theta), by angle:
2theta, I/Imax
39.27, 100
40.02, 49
40.11, 92
41.52, 31
45.69, 64
47.02, 44
67.68, 34
81.15, 23

---

# 7
For Pd, a GGA-PBE-relaxed structure gives the calculated PXRD pattern in this record (CuKα).

Cell and atoms:
```
data_Pd
_chemical_formula_sum 'Pd30'
_cell_length_a 5.506
_cell_length_b 2.746
_cell_length_c 42.065
_cell_angle_alpha 90.00
_cell_angle_beta 90.01
_cell_angle_gamma 90.00
_space_group_name_H-M_alt 'P 1 21/m 1'
_space_group_IT_number 11
loop_
_space_group_symop_operation_xyz
'x,y,z'
'-x,-y,-z'
'-x,y+1/2,-z'
'x,-y+1/2,z'
loop_
_atom_site_label
_atom_site_type_symbol
_atom_site_fract_x
_atom_site_fract_y
_atom_site_fract_z
_atom_site_occupancy
Pd1 Pd 0.117 0.250 0.312 1
Pd2 Pd 0.125 0.250 0.024 1
Pd3 Pd 0.125 0.250 0.120 1
Pd4 Pd 0.125 0.250 0.216 1
Pd5 Pd 0.125 0.250 0.735 1
Pd6 Pd 0.125 0.250 0.832 1
Pd7 Pd 0.125 0.250 0.928 1
Pd8 Pd 0.367 0.750 0.688 1
Pd9 Pd 0.375 0.750 0.072 1
Pd10 Pd 0.375 0.750 0.168 1
Pd11 Pd 0.375 0.750 0.264 1
Pd12 Pd 0.375 0.750 0.356 1
Pd13 Pd 0.375 0.750 0.784 1
Pd14 Pd 0.375 0.750 0.880 1
Pd15 Pd 0.375 0.750 0.976 1
```

The 8 most intense peaks (15 to 90 degrees two-theta), by angle:
2theta, I/Imax
39.14, 100
40.40, 69
45.27, 22
46.73, 51
67.09, 26
81.49, 11
81.63, 11
82.45, 9

---

# 8
For Pm3PdPt8, a GGA-PBE-relaxed structure gives the calculated PXRD pattern in this record (CuKα).

Cell and atoms:
```
data_Pm3PdPt8
_chemical_formula_sum 'Pm9 Pd3 Pt24'
_cell_length_a 5.4404
_cell_length_b 5.4404
_cell_length_c 26.7350
_cell_angle_alpha 90.00
_cell_angle_beta 90.00
_cell_angle_gamma 120.00
_space_group_name_H-M_alt 'R 3 m'
_space_group_IT_number 160
_space_group_name_Hall 'R 3 -2"'
loop_
_atom_site_label
_atom_site_type_symbol
_atom_site_fract_x
_atom_site_fract_y
_atom_site_fract_z
_atom_site_occupancy
Pm1 Pm 0.0000 0.0000 0.0000 1
Pm2 Pm 0.0000 0.0000 0.1308 1
Pm3 Pm 0.0000 0.0000 0.5208 1
Pd1 Pd 0.0000 0.0000 0.6406 1
Pt1 Pt 0.0000 0.0000 0.3201 1
Pt2 Pt 0.0000 0.0000 0.8202 1
Pt3 Pt 0.9997 0.4998 0.0704 1
Pt4 Pt 0.1681 0.3362 0.9033 1
```

The 8 most intense peaks (15 to 90 degrees two-theta), by angle:
2theta, I/Imax
19.97, 20
32.90, 17
38.78, 100
40.49, 14
40.61, 41
62.71, 24
69.06, 16
83.25, 16

---

# 9
For Pm2Pd5Pt, a GGA-PBE-relaxed structure gives the calculated PXRD pattern in this record (CuKα).

Cell and atoms:
```
data_Pm2Pd5Pt
_chemical_formula_sum 'Pm4 Pd10 Pt2'
_cell_length_a 5.897
_cell_length_b 11.798
_cell_length_c 4.185
_cell_angle_alpha 90.00
_cell_angle_beta 90.00
_cell_angle_gamma 90.00
_space_group_name_H-M_alt 'P b a m'
_space_group_IT_number 55
loop_
_space_group_symop_operation_xyz
'x,y,z'
'-x,-y,-z'
'-x,-y,z'
'x,y,-z'
'x+1/2,-y+1/2,-z'
'-x+1/2,y+1/2,z'
'-x+1/2,y+1/2,-z'
'x+1/2,-y+1/2,z'
loop_
_atom_site_label
_atom_site_type_symbol
_atom_site_fract_x
_atom_site_fract_y
_atom_site_fract_z
_atom_site_occupancy
Pm1 Pm 0.249 0.125 0.000 1
Pd1 Pd 0.000 0.000 0.500 1
Pd2 Pd 0.002 0.749 0.500 1
Pd3 Pd 0.248 0.375 0.000 1
Pt1 Pt 0.000 0.500 0.500 1
```

The 8 most intense peaks (15 to 90 degrees two-theta), by angle:
2theta, I/Imax
37.30, 100
43.24, 16
43.39, 33
62.93, 21
63.04, 11
75.38, 13
75.60, 25
79.53, 11

---

# 10
For TbPmPd6, a GGA-PBE-relaxed structure gives the calculated PXRD pattern in this record (CuKα).

Cell and atoms:
```
data_TbPmPd6
_chemical_formula_sum 'Tb1 Pm1 Pd6'
_cell_length_a 4.150
_cell_length_b 4.150
_cell_length_c 8.280
_cell_angle_alpha 90.00
_cell_angle_beta 90.00
_cell_angle_gamma 90.00
_space_group_name_H-M_alt 'P 4/m m m'
_space_group_IT_number 123
_space_group_name_Hall '-P 4 2'
loop_
_atom_site_label
_atom_site_type_symbol
_atom_site_fract_x
_atom_site_fract_y
_atom_site_fract_z
_atom_site_occupancy
Tb1 Tb 0.000 0.000 0.000 1
Pm1 Pm 0.000 0.000 0.500 1
Pd1 Pd 0.000 0.500 0.246 1
Pd2 Pd 0.500 0.500 0.000 1
Pd3 Pd 0.500 0.500 0.500 1
```

The 8 most intense peaks (15 to 90 degrees two-theta), by angle:
2theta, I/Imax
21.43, 3
37.57, 100
43.62, 33
43.73, 16
63.46, 32
76.09, 25
76.25, 12
80.19, 11

---

# 11
For Pr5Pd, a GGA-PBE-relaxed structure gives the calculated PXRD pattern in this record (CuKα).

Cell and atoms:
```
data_Pr5Pd
_chemical_formula_sum 'Pr20 Pd4'
_cell_length_a 9.208
_cell_length_b 9.208
_cell_length_c 9.208
_cell_angle_alpha 90.00
_cell_angle_beta 90.00
_cell_angle_gamma 90.00
_space_group_name_H-M_alt 'F -4 3 m'
_space_group_IT_number 216
_space_group_name_Hall 'F -4 2 3'
loop_
_atom_site_label
_atom_site_type_symbol
_atom_site_fract_x
_atom_site_fract_y
_atom_site_fract_z
_atom_site_occupancy
Pr1 Pr 0.000 0.000 0.000 1
Pr2 Pr 0.124 0.124 0.376 1
Pd1 Pd 0.250 0.250 0.750 1
```

The 8 most intense peaks (15 to 90 degrees two-theta), by angle:
2theta, I/Imax
27.40, 23
32.24, 100
33.72, 45
51.58, 35
56.54, 32
66.60, 12
67.47, 18
80.05, 22

---

# 12
For PrPd6, a GGA-PBE-relaxed structure gives the calculated PXRD pattern in this record (CuKα).

Cell and atoms:
```
data_PrPd6
_chemical_formula_sum 'Pr4 Pd24'
_cell_length_a 8.071
_cell_length_b 7.176
_cell_length_c 8.599
_cell_angle_alpha 90.00
_cell_angle_beta 98.97
_cell_angle_gamma 90.00
_space_group_name_H-M_alt 'C 1 2/c 1'
_space_group_IT_number 15
loop_
_space_group_symop_operation_xyz
'x,y,z'
'-x,-y,-z'
'-x,y,-z+1/2'
'x,-y,z+1/2'
'x+1/2,y+1/2,z'
'-x+1/2,-y+1/2,-z'
'-x+1/2,y+1/2,-z+1/2'
'x+1/2,-y+1/2,z+1/2'
loop_
_atom_site_label
_atom_site_type_symbol
_atom_site_fract_x
_atom_site_fract_y
_atom_site_fract_z
_atom_site_occupancy
Pr1 Pr 0.000 0.170 0.250 1
Pd1 Pd 0.115 0.483 0.633 1
Pd2 Pd 0.128 0.232 0.880 1
Pd3 Pd 0.188 0.091 0.584 1
```

The 8 most intense peaks (15 to 90 degrees two-theta), by angle:
2theta, I/Imax
33.13, 27
34.22, 43
37.48, 45
37.92, 81
39.14, 100
39.33, 35
40.59, 27
41.83, 43